[1]
Structure and computed powder diffractogram of Tm4Sc5Pb2 (a DFT-relaxed cell (PBE, Alexandria); CuKα).
Peak positions follow from Bragg's law for the DFT cell and can differ from measured ones.

Structure:
Cell: 5.0202 5.0202 44.9269 Å, 90.00 90.00 120.00°
Space group R-3m (No. 166, hexagonal axes)
One atom of each set of equivalent atoms:
Tm: 0.0000 0.0000 0.0718 x6
Tm: 0.0000 0.0000 0.2238 x6
Sc: 0.0000 0.0000 0.0000 x3
Sc: 0.0000 0.0000 0.1484 x6
Sc: 0.0000 0.0000 0.3048 x6
Pb: 0.0000 0.0000 0.3764 x6

Top 10 peaks for 2θ = 10–90°, sorted by position:
2θ (°)  I_rel  hkl
11.82  31  0 0 6
24.73  77  1 0 7
33.11  91  1 0 13
34.75  25  0 1 14
35.77  100  1 1 0
45.45  22  0 1 20
49.54  29  0 2 13
62.59  29  2 1 13
64.28  18  3 0 0
67.54  18  1 1 27


[2]
Structure and computed powder diffractogram of Y3ScPb2 (a DFT-relaxed cell (PBE, Alexandria); CuKα).
Peak positions follow from Bragg's law for the DFT cell and can differ from measured ones.

Structure:
Cell: 4.5199 4.5199 8.4244 Å, 90.00 90.00 90.00°
Space group P-4m2 (No. 115)
One atom of each set of equivalent atoms:
Y: 0.0000 0.0000 0.0000 x1
Y: 0.0000 0.5000 0.6577 x2
Sc: 0.5000 0.5000 0.0000 x1
Pb: 0.0000 0.5000 0.2765 x2

Top 10 peaks for 2θ = 10–90°, sorted by position:
2θ (°)  I_rel  hkl
21.09  26  0 0 2
22.32  55  1 0 1
27.92  53  1 1 0
29.90  40  1 1 1
31.87  24  0 0 3
35.25  100  1 1 2
37.71  36  1 0 3
39.89  53  2 0 0
51.94  24  2 0 3
69.44  28  3 1 2


[3]
Structure and computed powder diffractogram of Y2Sc3Pb4 (a DFT-relaxed cell (PBE, Alexandria); CuKα).
Peak positions follow from Bragg's law for the DFT cell and can differ from measured ones.

Structure:
Cell: 8.0996 8.0565 7.8687 Å, 90.00 111.53 90.00°
Space group P2_1/c (No. 14)
One atom of each set of equivalent atoms:
Y: 0.1919 0.1795 0.0521 x4
Sc: 0.2465 0.6546 0.2392 x4
Sc: 0.5000 0.0000 0.5000 x2
Pb: 0.0885 0.5445 0.8324 x4
Pb: 0.4962 0.1432 0.8570 x4

Top 10 peaks for 2θ = 10–90°, sorted by position:
2θ (°)  I_rel  hkl
22.67  74  1 1 1
23.62  35  2 0 0
25.24  50  0 2 1
29.25  59  2 1 -2
31.52  100  2 2 -1
31.93  46  1 2 -2
32.82  82  1 1 2
35.14  40  3 0 -2
35.61  50  0 3 1
36.05  89  1 1 -3


[4]
Structure and computed powder diffractogram of Y3Sc2Pb3 (a DFT-relaxed cell (PBE, Alexandria); CuKα).
Peak positions follow from Bragg's law for the DFT cell and can differ from measured ones.

Structure:
Cell: 8.8941 8.8941 6.3714 Å, 90.00 90.00 120.00°
Space group P6_3/mcm (No. 193)
One atom of each set of equivalent atoms:
Y: 0.0000 0.2384 0.2500 x6
Sc: 0.3333 0.6667 0.0000 x4
Pb: 0.0000 0.3999 0.7500 x6

Top 10 peaks for 2θ = 10–90°, sorted by position:
2θ (°)  I_rel  hkl
19.97  27  1 1 0
24.41  37  1 1 1
28.01  40  0 0 2
33.85  100  2 1 1
34.64  42  1 1 2
34.95  24  3 0 0
36.61  16  2 0 2
44.74  37  3 1 1
53.40  27  2 1 3
67.54  21  5 0 2


[5]
Structure and computed powder diffractogram of Zr3ScPb2 (a DFT-relaxed cell (PBE, Alexandria); CuKα).
Peak positions follow from Bragg's law for the DFT cell and can differ from measured ones.

Structure:
Cell: 4.2373 4.2373 8.0376 Å, 90.00 90.00 90.00°
Space group P-4m2 (No. 115)
One atom of each set of equivalent atoms:
Zr: 0.0000 0.0000 0.0000 x1
Zr: 0.0000 0.5000 0.6543 x2
Sc: 0.5000 0.5000 0.0000 x1
Pb: 0.0000 0.5000 0.2802 x2

Top 10 peaks for 2θ = 10–90°, sorted by position:
2θ (°)  I_rel  hkl
22.12  26  0 0 2
23.74  57  1 0 1
29.82  56  1 1 0
31.88  47  1 1 1
33.45  29  0 0 3
37.44  100  1 1 2
39.81  38  1 0 3
42.68  54  2 0 0
55.28  27  2 0 3
74.67  27  3 1 2


[6]
Structure and computed powder diffractogram of Zr15Sc2Pb2 (a DFT-relaxed cell (PBE, Alexandria); CuKα).
Peak positions follow from Bragg's law for the DFT cell and can differ from measured ones.

Structure:
Cell: 9.9984 9.9984 16.1712 Å, 90.00 90.00 120.00°
Space group R-3m (No. 166, hexagonal axes)
One atom of each set of equivalent atoms:
Zr: 0.0000 0.3045 0.0000 x18
Zr: 0.0000 0.5000 0.5000 x9
Zr: 0.0272 0.5136 0.1378 x18
Sc: 0.0000 0.0000 0.0906 x6
Pb: 0.0000 0.0000 0.2941 x6

Top 10 peaks for 2θ = 10–90°, sorted by position:
2θ (°)  I_rel  hkl
14.99  20  0 1 2
24.29  25  1 0 4
29.45  49  1 2 2
30.98  31  3 0 0
34.62  53  2 0 5
35.27  100  0 3 3
35.93  45  2 2 0
39.75  28  2 2 3
54.19  26  5 0 2
63.76  22  4 2 5


[7]
Structure and computed powder diffractogram of Pb6Se5 (a DFT-relaxed cell (PBE, Alexandria); CuKα).
Peak positions follow from Bragg's law for the DFT cell and can differ from measured ones.

Structure:
Cell: 7.4545 12.9136 7.5141 Å, 90.00 109.30 90.00°
Space group C2/m (No. 12)
One atom of each set of equivalent atoms:
Pb: 0.2369 0.1588 0.2381 x8
Pb: 0.2392 0.0000 0.7486 x4
Se: 0.0000 0.1738 0.5000 x4
Se: 0.0000 0.3338 0.0000 x4
Se: 0.0000 0.5000 0.5000 x2

Top 10 peaks for 2θ = 10–90°, sorted by position:
2θ (°)  I_rel  hkl
25.11  12  0 0 2
25.32  36  1 3 -1
29.26  100  2 0 -2
41.72  38  1 3 -3
41.98  37  3 3 -1
49.55  12  3 3 -3
51.99  20  2 6 -2
60.68  12  4 0 -4
68.95  17  5 3 -3
76.52  12  4 6 -4


[8]
Structure and computed powder diffractogram of Pb3Se (a DFT-relaxed cell (PBE, Alexandria); CuKα).
Peak positions follow from Bragg's law for the DFT cell and can differ from measured ones.

Structure:
Cell: 3.9374 6.2015 5.4059 Å, 90.00 90.00 90.00°
Space group Pmm2 (No. 25)
One atom of each set of equivalent atoms:
Pb: 0.0000 0.0000 0.0000 x1
Pb: 0.0000 0.5000 0.1422 x1
Pb: 0.5000 0.0000 0.5103 x1
Se: 0.5000 0.5000 0.5215 x1

Top 10 peaks for 2θ = 10–90°, sorted by position:
2θ (°)  I_rel  hkl
28.04  100  1 0 1
28.79  54  0 2 0
31.60  23  1 1 1
33.14  20  0 0 2
36.25  22  0 1 2
40.62  76  1 2 1
44.46  18  0 2 2
55.27  18  2 2 0
58.24  18  1 1 3
67.16  18  1 4 1


[9]
Structure and computed powder diffractogram of SiPb4Se6 (a DFT-relaxed cell (PBE, Alexandria); CuKα).
Peak positions follow from Bragg's law for the DFT cell and can differ from measured ones.

Structure:
Cell: 16.1521 7.6875 13.9662 Å, 90.00 120.42 90.00°
Space group Cc (No. 9)
One atom of each set of equivalent atoms:
Si: 0.0000 0.2316 0.0000 x4
Pb: 0.0757 0.1319 0.7761 x4
Pb: 0.2166 0.3939 0.2642 x4
Pb: 0.2705 0.0684 0.5845 x4
Pb: 0.4545 0.1811 0.9103 x4
Se: 0.1225 0.2033 0.3795 x4
Se: 0.1586 0.2522 0.0409 x4
Se: 0.2452 0.2287 0.7540 x4
Se: 0.4078 0.2243 0.3122 x4
Se: 0.4454 0.4853 0.0429 x4
Se: 0.4888 0.0428 0.6013 x4

Top 10 peaks for 2θ = 10–90°, sorted by position:
2θ (°)  I_rel  hkl
20.27  30  3 1 -1
20.77  100  3 1 -2
22.09  38  4 0 -2
23.93  32  2 0 2
24.31  63  0 2 1
25.59  37  2 0 -4
27.53  29  0 2 2
28.54  36  1 1 3
29.38  29  1 1 -4
41.02  39  3 3 -3


[10]
Structure and computed powder diffractogram of Sm3Pb4Se8 (a DFT-relaxed cell (PBE, Alexandria); CuKα).
Peak positions follow from Bragg's law for the DFT cell and can differ from measured ones.

Structure:
Cell: 12.0729 12.0926 8.5502 Å, 90.00 134.74 90.00°
Space group C2/m (No. 12)
One atom of each set of equivalent atoms:
Sm: 0.0000 0.0000 0.0000 x2
Sm: 0.2500 0.2500 0.5000 x4
Pb: 0.0000 0.5000 0.0000 x2
Pb: 0.0000 0.5000 0.5000 x2
Pb: 0.2500 0.2500 0.0000 x4
Se: 0.0000 0.2454 0.0000 x4
Se: 0.0000 0.2453 0.5000 x4
Se: 0.2392 0.0000 0.9941 x4
Se: 0.2409 0.0000 0.4900 x4

Top 10 peaks for 2θ = 10–90°, sorted by position:
2θ (°)  I_rel  hkl
12.66  15  1 1 0
25.49  31  2 2 0
29.42  51  0 0 2
29.57  100  0 4 0
42.17  57  0 4 2
42.30  57  4 0 -4
52.32  20  4 4 0
52.43  20  4 4 -4
69.23  13  0 4 4
77.21  20  4 4 -6


[11]
Structure and computed powder diffractogram of SmTl2PbSe4 (a DFT-relaxed cell (PBE, Alexandria); CuKα).
Peak positions follow from Bragg's law for the DFT cell and can differ from measured ones.

Structure:
Cell: 7.6266 4.2968 7.8068 Å, 90.00 109.29 90.00°
Space group P2/m (No. 10)
One atom of each set of equivalent atoms:
Sm: 0.0000 0.0000 0.0000 x1
Tl: 0.0000 0.5000 0.5000 x1
Tl: 0.5000 0.0000 0.5000 x1
Pb: 0.5000 0.5000 0.0000 x1
Se: 0.2285 0.5000 0.2193 x2
Se: 0.2405 0.0000 0.7693 x2

Top 10 peaks for 2θ = 10–90°, sorted by position:
2θ (°)  I_rel  hkl
24.16  14  0 0 2
25.10  23  1 1 -1
28.37  52  2 0 -2
28.84  100  1 1 1
40.41  19  2 0 2
40.53  39  1 1 -3
41.26  38  3 1 -1
42.06  18  0 2 0
49.46  14  0 0 4
51.51  20  2 2 -2


[12]
Structure and computed powder diffractogram of Sn2PbSe3 (a DFT-relaxed cell (PBE, Alexandria); CuKα).
Peak positions follow from Bragg's law for the DFT cell and can differ from measured ones.

Structure:
Cell: 4.3191 4.3191 10.5750 Å, 90.00 90.00 120.00°
Space group P-3m1 (No. 164)
One atom of each set of equivalent atoms:
Sn: 0.3333 0.6667 0.1636 x2
Pb: 0.0000 0.0000 0.5000 x1
Se: 0.0000 0.0000 0.0000 x1
Se: 0.3333 0.6667 0.6735 x2

Top 10 peaks for 2θ = 10–90°, sorted by position:
2θ (°)  I_rel  hkl
25.26  19  0 0 3
29.25  100  0 1 2
41.84  76  1 1 0
49.50  10  0 1 5
51.86  27  2 0 2
60.65  13  0 2 4
66.77  5  1 0 7
68.74  35  1 2 2
76.40  27  3 0 0
81.98  4  0 0 9


[13]
Structure and computed powder diffractogram of Sn4PbSe6 (a DFT-relaxed cell (PBE, Alexandria); CuKα).
Peak positions follow from Bragg's law for the DFT cell and can differ from measured ones.

Structure:
Cell: 6.1990 6.2639 9.0190 Å, 75.95 77.26 83.96°
Space group P1 (No. 1)
One atom of each set of equivalent atoms:
Sn: 0.0000 0.0000 0.0000 x1
Sn: 0.1049 0.6480 0.6616 x1
Sn: 0.5389 0.5355 0.0026 x1
Sn: 0.6501 0.2645 0.5748 x1
Pb: 0.4451 0.9406 0.3328 x1
Se: 0.0663 0.5820 0.9899 x1
Se: 0.1803 0.1941 0.7091 x1
Se: 0.4011 0.4552 0.3554 x1
Se: 0.5750 0.0678 0.9898 x1
Se: 0.6534 0.6562 0.6658 x1
Se: 0.9867 0.0288 0.2786 x1

Top 10 peaks for 2θ = 10–90°, sorted by position:
2θ (°)  I_rel  hkl
19.75  29  0 1 -1
28.91  100  0 2 1
29.31  79  2 0 1
29.60  43  2 0 0
31.32  91  0 0 3
38.95  34  2 2 1
39.85  37  2 0 -2
43.43  46  2 -2 0
49.24  28  2 2 4
54.07  27  -2 2 3